Structure and simulated powder X-ray diffraction pattern of PaTl3I7 (a DFT-relaxed cell (GGA-PBE, Alexandria); Cu Kα (λ = 1.5418 Å)).
Intensities are scaled so that the largest is 100.

Largest 10 diffraction maxima, most intense first, 10 to 90 degrees two-theta:
two_theta	I (rel.)
31.09	100
20.20	93
29.09	55
19.19	44
17.65	38
38.65	35
33.59	33
32.95	32
34.84	31
36.51	30

Cell lengths 8.1498, 8.1498, 9.5066 Å; angles 115.93, 115.93, 81.79 degrees
Fractional coordinates of all 11 atoms:
Pa  0.0000  0.0000  0.0000
Tl  0.1356  0.7165  0.4359
Tl  0.4371  0.4371  0.8591
Tl  0.7165  0.1356  0.4359
I  0.1471  0.1471  0.8294
I  0.3070  0.3070  0.3510
I  0.3287  0.7942  0.1784
I  0.6266  0.9930  0.6984
I  0.7927  0.7927  0.0821
I  0.7942  0.3287  0.1784
I  0.9930  0.6266  0.6984